1.
# Li2MnPCO7
Calculated powder X-ray diffraction pattern, λ = 1.5418 Å (Cu Kα). Input: a DFT-relaxed cell (PBE+U, the Materials Project).
Lines closer than 0.1° are merged.

Main lines, sorted by position (10° ≤ 2θ ≤ 80°):
| h k l | Position (°2θ) | d/Å | I_rel |
| --- | --- | --- | --- |
| 0 0 1 | 10.47 | 8.448 | 100 |
| 0 1 -1 | 17.29 | 5.127 | 12 |
| 0 1 1 | 17.69 | 5.013 | 29 |
| 1 0 -1 | 19.46 | 4.562 | 30 |
| 1 0 1 | 20.20 | 4.396 | 22 |
| 1 -1 0 | 21.61 | 4.112 | 11 |
| 1 0 -2 | 26.48 | 3.366 | 39 |
| 0 2 0 | 28.17 | 3.168 | 59 |
| 2 0 0 | 33.97 | 2.639 | 22 |
| 2 0 -1 | 35.21 | 2.549 | 12 |

Cell and atoms:
```
data_Li2MnPCO7
_symmetry_space_group_name_H-M 'P -1'
_symmetry_Int_Tables_number 2
_cell_length_a 5.2847
_cell_length_b 6.3406
_cell_length_c 8.4577
_cell_angle_alpha 91.28
_cell_angle_beta 92.32
_cell_angle_gamma 91.53
loop_
_symmetry_equiv_pos_as_xyz
'x,y,z'
'-x,-y,-z'
loop_
_atom_site_label
_atom_site_fract_x
_atom_site_fract_y
_atom_site_fract_z
_atom_site_occupancy
Li1 0.2007 0.0660 0.2323 1
Li2 0.2222 0.5694 0.3080 1
Mn1 0.2263 0.2411 0.8459 1
P1 0.2913 0.7528 0.9349 1
C1 0.2708 0.2627 0.5488 1
O1 0.0605 0.2451 0.6305 1
O2 0.1890 0.9317 0.8290 1
O3 0.1897 0.7717 0.1035 1
O4 0.2002 0.5475 0.8484 1
O5 0.2563 0.2830 0.3998 1
O6 0.4099 0.2301 0.0522 1
O7 0.4764 0.2575 0.6354 1
```

=====

2.
# ScNiBO4
Calculated powder X-ray diffraction pattern, λ = 1.5418 Å (Cu Kα). Input: a DFT-relaxed cell (PBE+U, the Materials Project).
Lines closer than 0.1° are merged.

Main lines, sorted by position (10° ≤ 2θ ≤ 80°):
| h k l | Position (°2θ) | d/Å | I_rel |
| --- | --- | --- | --- |
| 0 1 1 | 13.18 | 6.717 | 23 |
| 0 2 1 | 20.81 | 4.269 | 33 |
| 0 3 1 | 29.54 | 3.024 | 27 |
| 1 0 2 | 33.63 | 2.665 | 100 |
| 0 3 2 | 33.92 | 2.643 | 45 |
| 0 2 3 | 34.14 | 2.626 | 20 |
| 1 2 3 | 44.45 | 2.038 | 20 |
| 1 3 3 | 49.53 | 1.840 | 21 |
| 1 3 4 | 56.27 | 1.635 | 26 |
| 1 2 5 | 60.03 | 1.541 | 21 |

Cell and atoms:
```
data_ScNiBO4
_symmetry_space_group_name_H-M 'P m c 21'
_symmetry_Int_Tables_number 26
_cell_length_a 3.2315
_cell_length_b 9.5776
_cell_length_c 9.4215
_cell_angle_alpha 90.00
_cell_angle_beta 90.00
_cell_angle_gamma 90.00
loop_
_symmetry_equiv_pos_as_xyz
'x,y,z'
'-x,-y,z+1/2'
'-x,y,z'
'x,-y,z+1/2'
loop_
_atom_site_label
_atom_site_fract_x
_atom_site_fract_y
_atom_site_fract_z
_atom_site_occupancy
Sc1 0.0000 0.0565 0.0000 1
Sc2 0.0000 0.3270 0.4900 1
Ni1 0.5000 0.1852 0.7221 1
Ni2 0.5000 0.4458 0.2030 1
B1 0.0000 0.3737 0.9319 1
B2 0.5000 0.1283 0.2705 1
O1 0.0000 0.1313 0.5892 1
O2 0.0000 0.2422 0.8658 1
O3 0.0000 0.3847 0.0768 1
O4 0.0000 0.4957 0.8488 1
O5 0.5000 0.0042 0.3499 1
O6 0.5000 0.1171 0.1247 1
O7 0.5000 0.2572 0.3340 1
O8 0.5000 0.3672 0.6101 1
```